Simulated powder diffractogram of Ta6Fe5Ru for λ = 1.5418 Å (Cu Kα), from a crystal structure in Alexandria, relaxed with GGA-PBE.
Kinematic intensities with the Lorentz-polarization factor, no thermal factor.

Top 6 peaks for 10° ≤ 2θ ≤ 90°, in order of falling intensity:
Position (°2θ)	I (rel.)	index
41.33	100	2 0 0
75.37	33	3 3 2
28.90	27	1 3 0
59.92	11	2 6 0
89.78	9	4 0 0
67.83	9	3 3 0

Structure:
a b c (Å): 4.3669 13.0965 6.1852
angles (deg): 90.00 90.00 90.00
Space group Cmmm (No. 65)
Symmetry-distinct sites (fractional):
Ta1 0.0000 0.0000 0.2439 (multiplicity 4)
Ta2 0.0000 0.3304 0.2480 (multiplicity 8)
Fe1 0.0000 0.1659 0.0000 (multiplicity 4)
Fe2 0.0000 0.1655 0.5000 (multiplicity 4)
Fe3 0.0000 0.5000 0.0000 (multiplicity 2)
Ru1 0.0000 0.5000 0.5000 (multiplicity 2)

Simulated powder diffractogram of Ti5Fe4Ru for λ = 1.5418 Å (Cu Kα), from a crystal structure in Alexandria, relaxed with GGA-PBE.
Kinematic intensities with the Lorentz-polarization factor, no thermal factor.

Top 6 peaks for 10° ≤ 2θ ≤ 90°, in order of falling intensity:
Position (°2θ)	I (rel.)	index
42.90	100	1 1 0
78.60	29	2 1 5
62.28	15	2 0 0
29.97	4	0 0 5
11.88	2	0 0 2
70.65	2	1 0 10

Structure:
a b c (Å): 2.9826 2.9826 14.8945
angles (deg): 90.00 90.00 90.00
Space group P4/mmm (No. 123)
Symmetry-distinct sites (fractional):
Ti1 0.0000 0.0000 0.0000 (multiplicity 1)
Ti2 0.0000 0.0000 0.1969 (multiplicity 2)
Ti3 0.0000 0.0000 0.3943 (multiplicity 2)
Fe1 0.5000 0.5000 0.0987 (multiplicity 2)
Fe2 0.5000 0.5000 0.2959 (multiplicity 2)
Ru1 0.5000 0.5000 0.5000 (multiplicity 1)

Simulated powder diffractogram of Tl3FeRu for λ = 1.5418 Å (Cu Kα), from a crystal structure in Alexandria, relaxed with GGA-PBE.
Kinematic intensities with the Lorentz-polarization factor, no thermal factor.

Top 6 peaks for 10° ≤ 2θ ≤ 90°, in order of falling intensity:
Position (°2θ)	I (rel.)	index
29.42	100	1 1 1
34.10	97	2 0 0
49.00	70	2 2 0
16.86	55	1 0 0
58.19	45	3 1 1
81.94	32	4 2 0

Structure:
a b c (Å): 5.2580 5.2580 5.2580
angles (deg): 90.00 90.00 90.00
Space group Pm-3m (No. 221)
Symmetry-distinct sites (fractional):
Tl1 0.0000 0.0000 0.5000 (multiplicity 3)
Fe1 0.5000 0.5000 0.5000 (multiplicity 1)
Ru1 0.0000 0.0000 0.0000 (multiplicity 1)

Simulated powder diffractogram of V3FeRu for λ = 1.5418 Å (Cu Kα), from a crystal structure in Alexandria, relaxed with GGA-PBE.
Kinematic intensities with the Lorentz-polarization factor, no thermal factor.

Top 6 peaks for 10° ≤ 2θ ≤ 90°, in order of falling intensity:
Position (°2θ)	I (rel.)	index
43.08	100	5 1 0
43.24	99	0 2 0
43.41	98	1 1 2
62.81	45	4 2 -2
78.90	22	9 1 -2
79.47	15	1 3 2

Structure:
a b c (Å): 12.2658 4.1821 5.1021
angles (deg): 90.00 98.20 90.00
Space group C2/m (No. 12)
Symmetry-distinct sites (fractional):
V1 0.0000 0.0000 0.0000 (multiplicity 2)
V2 0.0000 0.0000 0.5000 (multiplicity 2)
V3 0.1033 0.5000 0.2031 (multiplicity 4)
V4 0.1997 0.0000 0.8947 (multiplicity 4)
Fe1 0.1960 0.0000 0.3968 (multiplicity 4)
Ru1 0.1007 0.5000 0.7033 (multiplicity 4)

Simulated powder diffractogram of V7Fe3Ru for λ = 1.5418 Å (Cu Kα), from a crystal structure in Alexandria, relaxed with GGA-PBE.
Kinematic intensities with the Lorentz-polarization factor, no thermal factor.

Top 6 peaks for 10° ≤ 2θ ≤ 90°, in order of falling intensity:
Position (°2θ)	I (rel.)	index
46.04	100	1 5 2
40.97	92	1 3 2
40.86	92	0 8 0
38.23	60	0 6 3
38.60	56	1 1 -3
46.36	56	0 0 6

Structure:
a b c (Å): 2.7355 17.6673 11.8164
angles (deg): 90.00 96.02 90.00
Space group C2/c (No. 15)
Symmetry-distinct sites (fractional):
V1 0.0000 0.0616 0.2500 (multiplicity 4)
V2 0.1019 0.1919 0.4444 (multiplicity 8)
V3 0.1742 0.3184 0.1415 (multiplicity 8)
V4 0.2365 0.4545 0.4177 (multiplicity 8)
Fe1 0.0000 0.0811 0.7500 (multiplicity 4)
Fe2 0.1080 0.4164 0.9187 (multiplicity 8)
Ru1 0.0000 0.3007 0.7500 (multiplicity 4)

Simulated powder diffractogram of V5FeRu6 for λ = 1.5418 Å (Cu Kα), from a crystal structure in Alexandria, relaxed with GGA-PBE.
Kinematic intensities with the Lorentz-polarization factor, no thermal factor.

Top 6 peaks for 10° ≤ 2θ ≤ 90°, in order of falling intensity:
Position (°2θ)	I (rel.)	index
42.57	100	2 0 0
77.86	20	3 3 2
29.74	15	1 3 0
61.70	10	2 6 0
78.00	10	2 0 4
61.92	5	0 0 4

Structure:
a b c (Å): 4.2532 12.7550 5.9946
angles (deg): 90.00 90.00 90.00
Space group Cmmm (No. 65)
Symmetry-distinct sites (fractional):
V1 0.0000 0.0000 0.0000 (multiplicity 2)
V2 0.0000 0.3344 0.0000 (multiplicity 4)
V3 0.0000 0.3407 0.5000 (multiplicity 4)
Fe1 0.0000 0.0000 0.5000 (multiplicity 2)
Ru1 0.0000 0.1704 0.2505 (multiplicity 8)
Ru2 0.0000 0.5000 0.2468 (multiplicity 4)

Simulated powder diffractogram of V2FeRu8 for λ = 1.5418 Å (Cu Kα), from a crystal structure in Alexandria, relaxed with GGA-PBE.
Kinematic intensities with the Lorentz-polarization factor, no thermal factor.

Top 6 peaks for 10° ≤ 2θ ≤ 90°, in order of falling intensity:
Position (°2θ)	I (rel.)	index
42.42	100	1 1 2
41.93	29	0 2 0
41.19	23	4 0 -3
76.92	18	1 3 2
60.23	15	4 2 -3
34.93	11	3 1 -2

Structure:
a b c (Å): 12.4756 4.3094 6.7377
angles (deg): 90.00 121.99 90.00
Space group C2/m (No. 12)
Symmetry-distinct sites (fractional):
V1 0.2319 0.0000 0.1203 (multiplicity 4)
Fe1 0.0000 0.5000 0.5000 (multiplicity 2)
Ru1 0.0665 0.0000 0.2208 (multiplicity 4)
Ru2 0.0963 0.5000 0.9580 (multiplicity 4)
Ru3 0.1356 0.0000 0.6812 (multiplicity 4)
Ru4 0.1837 0.5000 0.4555 (multiplicity 4)

Simulated powder diffractogram of V2Fe3Ru3 for λ = 1.5418 Å (Cu Kα), from a crystal structure in Alexandria, relaxed with GGA-PBE.
Kinematic intensities with the Lorentz-polarization factor, no thermal factor.

Top 6 peaks for 10° ≤ 2θ ≤ 90°, in order of falling intensity:
Position (°2θ)	I (rel.)	index
43.09	100	1 1 0
78.97	23	3 0 0
62.57	15	2 0 8
30.10	9	1 0 4
79.07	7	1 0 16
70.99	3	1 1 12

Structure:
a b c (Å): 4.2007 4.2007 20.5505
angles (deg): 90.00 90.00 120.00
Space group R3m (No. 160, hexagonal axes)
Symmetry-distinct sites (fractional):
V1 0.0000 0.0000 0.0000 (multiplicity 3)
V2 0.0000 0.0000 0.4971 (multiplicity 3)
Fe1 0.0000 0.0000 0.2517 (multiplicity 3)
Fe2 0.0000 0.0000 0.3739 (multiplicity 3)
Fe3 0.0000 0.0000 0.7466 (multiplicity 3)
Ru1 0.0000 0.0000 0.1235 (multiplicity 3)
Ru2 0.0000 0.0000 0.6240 (multiplicity 3)
Ru3 0.0000 0.0000 0.8734 (multiplicity 3)

Simulated powder diffractogram of FeRuW for λ = 1.5418 Å (Cu Kα), from a crystal structure in Alexandria, relaxed with GGA-PBE.
Kinematic intensities with the Lorentz-polarization factor, no thermal factor.

Top 6 peaks for 10° ≤ 2θ ≤ 90°, in order of falling intensity:
Position (°2θ)	I (rel.)	index
41.46	100	1 0 1
42.32	86	1 1 0
24.06	36	1 0 0
76.81	32	2 1 1
60.74	32	0 2 1
75.03	17	0 1 2

Structure:
a b c (Å): 4.2709 4.2709 2.6948
angles (deg): 90.00 90.00 120.00
Space group P3m1 (No. 156)
Symmetry-distinct sites (fractional):
Fe1 0.0000 0.0000 0.0000 (multiplicity 1)
Ru1 0.6667 0.3333 0.3529 (multiplicity 1)
W1 0.3333 0.6667 0.6984 (multiplicity 1)

Simulated powder diffractogram of FeRuW2 for λ = 1.5418 Å (Cu Kα), from a crystal structure in Alexandria, relaxed with GGA-PBE.
Kinematic intensities with the Lorentz-polarization factor, no thermal factor.

Top 6 peaks for 10° ≤ 2θ ≤ 90°, in order of falling intensity:
Position (°2θ)	I (rel.)	index
40.48	100	2 2 0
46.58	33	2 0 1
69.20	20	2 4 1
48.11	15	0 4 0
23.52	14	0 2 0
82.14	13	2 2 2

Structure:
a b c (Å): 5.5063 7.5650 2.7620
angles (deg): 90.00 90.00 90.00
Space group Cmmm (No. 65)
Symmetry-distinct sites (fractional):
Fe1 0.0000 0.0000 0.0000 (multiplicity 2)
Ru1 0.0000 0.5000 0.0000 (multiplicity 2)
W1 0.2500 0.2500 0.5000 (multiplicity 4)

Simulated powder diffractogram of ZrFe2Ru for λ = 1.5418 Å (Cu Kα), from a crystal structure in Alexandria, relaxed with GGA-PBE.
Kinematic intensities with the Lorentz-polarization factor, no thermal factor.

Top 6 peaks for 10° ≤ 2θ ≤ 90°, in order of falling intensity:
Position (°2θ)	I (rel.)	index
41.55	100	1 0 2
40.56	56	1 1 0
74.47	33	2 1 2
58.71	18	2 0 0
76.48	13	1 1 4
32.12	12	1 0 1

Structure:
a b c (Å): 3.1452 3.1452 6.0139
angles (deg): 90.00 90.00 90.00
Space group P4mm (No. 99)
Symmetry-distinct sites (fractional):
Zr1 0.0000 0.0000 0.0000 (multiplicity 1)
Fe1 0.0000 0.0000 0.4864 (multiplicity 1)
Fe2 0.5000 0.5000 0.2732 (multiplicity 1)
Ru1 0.5000 0.5000 0.7265 (multiplicity 1)

Simulated powder diffractogram of FeS for λ = 1.5418 Å (Cu Kα), from a crystal structure in Alexandria, relaxed with GGA-PBE.
Kinematic intensities with the Lorentz-polarization factor, no thermal factor.

Top 6 peaks for 10° ≤ 2θ ≤ 90°, in order of falling intensity:
Position (°2θ)	I (rel.)	index
46.53	100	1 1 4
35.10	52	1 1 2
30.51	46	1 1 0
54.60	39	2 1 3
54.23	29	3 0 0
19.44	23	1 0 1

Structure:
a b c (Å): 5.8592 5.8592 10.4701
angles (deg): 90.00 90.00 120.00
Space group P-62c (No. 190)
Symmetry-distinct sites (fractional):
Fe1 0.0705 0.4075 0.1145 (multiplicity 12)
S1 0.0000 0.0000 0.0000 (multiplicity 2)
S2 0.0278 0.6758 0.2500 (multiplicity 6)
S3 0.3333 0.6667 0.5373 (multiplicity 4)

Simulated powder diffractogram of Fe7S8 for λ = 1.5418 Å (Cu Kα), from a crystal structure in Alexandria, relaxed with GGA-PBE.
Kinematic intensities with the Lorentz-polarization factor, no thermal factor.

Top 6 peaks for 10° ≤ 2θ ≤ 90°, in order of falling intensity:
Position (°2θ)	I (rel.)	index
48.09	100	2 2 -5
56.51	83	6 2 -3
31.22	82	2 2 -1
35.33	80	2 2 1
46.54	77	2 2 3
49.37	68	4 0 -6

Structure:
a b c (Å): 11.2178 6.6693 11.4920
angles (deg): 90.00 115.67 90.00
Space group C2/c (No. 15)
Symmetry-distinct sites (fractional):
Fe1 0.0000 0.1994 0.2500 (multiplicity 4)
Fe2 0.0890 0.3064 0.9698 (multiplicity 8)
Fe3 0.1063 0.1038 0.4995 (multiplicity 8)
Fe4 0.2239 0.3980 0.2297 (multiplicity 8)
S1 0.0116 0.4042 0.1102 (multiplicity 8)
S2 0.0423 0.0920 0.6540 (multiplicity 8)
S3 0.2270 0.1505 0.3710 (multiplicity 8)
S4 0.2343 0.3601 0.8820 (multiplicity 8)